# Be2Mo2Os
Calculated powder XRD pattern, Cu Kα, 1.54184 Å. Input: a DFT-relaxed cell (PBE, Alexandria).
No peak broadening, texture or thermal motion is included.

Crystal structure
```
Be2Mo2Os
1.0
6.2126 0.0000 0.0000
0.0000 6.2126 0.0000
0.0000 0.0000 3.1407
Be Mo Os
4 4 2
direct
0.1209 0.3791 0.0000
0.3791 0.8791 0.0000
0.6209 0.1209 0.0000
0.8791 0.6209 0.0000
0.1728 0.6728 0.5000
0.3272 0.1728 0.5000
0.6728 0.8272 0.5000
0.8272 0.3272 0.5000
0.0000 0.0000 0.0000
0.5000 0.5000 0.0000
```

Peak list (8 most intense, 10° ≤ 2θ ≤ 90°, by intensity)
| d_spacing | 2θ/deg | I_rel |
| --- | --- | --- |
| 2.209 | 40.86 | 100 |
| 2.555 | 35.12 | 85 |
| 1.965 | 46.21 | 63 |
| 4.393 | 20.21 | 62 |
| 2.081 | 43.49 | 42 |
| 2.778 | 32.22 | 39 |
| 2.196 | 41.09 | 34 |
| 1.327 | 71.02 | 31 |

# BeMoP2
Calculated powder XRD pattern, Cu Kα, 1.54184 Å. Input: a DFT-relaxed cell (PBE, Alexandria).
No peak broadening, texture or thermal motion is included.

Crystal structure
```
BeMoP2
1.0
3.2156 0.0000 0.0000
0.0000 1.5869 5.3523
0.0000 -1.5869 5.3523
Be Mo P
1 1 2
direct
0.0000 0.0000 0.0000
0.5000 0.8109 0.8109
0.0000 0.2086 0.2086
0.5000 0.4863 0.4863
```

Peak list (8 most intense, 10° ≤ 2θ ≤ 90°, by intensity)
| d_spacing | 2θ/deg | I_rel |
| --- | --- | --- |
| 5.352 | 16.56 | 100 |
| 2.210 | 40.83 | 81 |
| 2.371 | 37.94 | 68 |
| 1.909 | 47.65 | 57 |
| 2.756 | 32.48 | 46 |
| 3.216 | 27.74 | 36 |
| 2.057 | 44.02 | 31 |
| 3.043 | 29.35 | 28 |

# BeMoPd
Calculated powder XRD pattern, Cu Kα, 1.54184 Å. Input: a DFT-relaxed cell (PBE, Alexandria).
No peak broadening, texture or thermal motion is included.

Crystal structure
```
BeMoPd
1.0
5.7210 0.0000 0.0000
0.0000 3.0414 0.0000
0.0000 0.0000 9.1596
Be Mo Pd
4 4 4
direct
0.1388 0.2500 0.2342
0.3612 0.7500 0.7342
0.6388 0.2500 0.2658
0.8612 0.7500 0.7658
0.1268 0.2500 0.9279
0.3732 0.7500 0.4279
0.6268 0.2500 0.5721
0.8732 0.7500 0.0721
0.1034 0.2500 0.6172
0.3966 0.7500 0.1172
0.6034 0.2500 0.8828
0.8966 0.7500 0.3828
```

Peak list (8 most intense, 10° ≤ 2θ ≤ 90°, by intensity)
| d_spacing | 2θ/deg | I_rel |
| --- | --- | --- |
| 2.085 | 43.39 | 100 |
| 2.155 | 41.93 | 51 |
| 2.886 | 30.98 | 40 |
| 2.730 | 32.80 | 33 |
| 4.580 | 19.38 | 22 |
| 1.192 | 80.62 | 16 |
| 1.229 | 77.69 | 15 |
| 1.541 | 60.03 | 14 |

# BeMoPd
Calculated powder XRD pattern, Cu Kα, 1.54184 Å. Input: a DFT-relaxed cell (PBE, Alexandria).
No peak broadening, texture or thermal motion is included.

Crystal structure
```
BeMoPd
1.0
2.7554 0.0000 0.0000
0.0000 3.7930 0.0000
-0.4035 0.0000 7.8081
Be Mo Pd
2 2 2
direct
0.0000 0.0000 0.0000
0.4589 0.0000 0.7156
0.5814 0.0000 0.3908
0.9343 0.5000 0.5758
0.0435 0.5000 0.2016
0.4878 0.5000 0.8910
```

Peak list (8 most intense, 10° ≤ 2θ ≤ 90°, by intensity)
| d_spacing | 2θ/deg | I_rel |
| --- | --- | --- |
| 2.146 | 42.11 | 100 |
| 2.119 | 42.68 | 66 |
| 3.793 | 23.45 | 60 |
| 2.306 | 39.06 | 54 |
| 1.896 | 47.97 | 37 |
| 3.412 | 26.12 | 32 |
| 7.808 | 11.33 | 27 |
| 2.166 | 41.70 | 27 |

# Be9ReMo2
Calculated powder XRD pattern, Cu Kα, 1.54184 Å. Input: a DFT-relaxed cell (PBE, Alexandria).
No peak broadening, texture or thermal motion is included.

Crystal structure
```
Be9ReMo2
1.0
4.3737 0.0000 0.0000
-2.1868 3.7877 0.0000
0.0000 0.0000 13.8186
Be Re Mo
18 2 4
direct
0.0000 0.0000 0.0000
0.0000 0.0000 0.2500
0.0000 0.0000 0.5000
0.0000 0.0000 0.7500
0.1680 0.3361 0.1284
0.1680 0.3361 0.3716
0.1680 0.8320 0.1284
0.1680 0.8320 0.3716
0.3333 0.6667 0.2500
0.3361 0.1680 0.6284
0.3361 0.1680 0.8716
0.6639 0.8320 0.1284
0.6639 0.8320 0.3716
0.6667 0.3333 0.7500
0.8320 0.1680 0.6284
0.8320 0.1680 0.8716
0.8320 0.6639 0.6284
0.8320 0.6639 0.8716
0.3333 0.6667 0.7500
0.6667 0.3333 0.2500
0.3333 0.6667 0.5322
0.3333 0.6667 0.9678
0.6667 0.3333 0.0322
0.6667 0.3333 0.4678
```

Peak list (8 most intense, 10° ≤ 2θ ≤ 90°, by intensity)
| d_spacing | 2θ/deg | I_rel |
| --- | --- | --- |
| 3.653 | 24.37 | 100 |
| 2.233 | 40.40 | 78 |
| 2.187 | 41.28 | 58 |
| 1.848 | 49.32 | 57 |
| 3.788 | 23.49 | 52 |
| 3.455 | 25.79 | 41 |
| 1.423 | 65.59 | 32 |
| 2.552 | 35.16 | 30 |

# BeMo2Ru
Calculated powder XRD pattern, Cu Kα, 1.54184 Å. Input: a DFT-relaxed cell (PBE, Alexandria).
No peak broadening, texture or thermal motion is included.

Crystal structure
```
BeMo2Ru
1.0
3.1183 0.0000 0.0000
0.0000 3.1183 0.0000
0.0000 0.0000 5.6726
Be Mo Ru
1 2 1
direct
0.0000 0.0000 0.0000
0.0000 0.0000 0.5020
0.5000 0.5000 0.2455
0.5000 0.5000 0.8010
```

Peak list (8 most intense, 10° ≤ 2θ ≤ 90°, by intensity)
| d_spacing | 2θ/deg | I_rel |
| --- | --- | --- |
| 2.098 | 43.11 | 100 |
| 2.205 | 40.93 | 64 |
| 2.733 | 32.77 | 42 |
| 1.251 | 76.05 | 36 |
| 1.559 | 59.27 | 21 |
| 3.118 | 28.63 | 17 |
| 1.435 | 64.97 | 12 |
| 5.673 | 15.62 | 12 |

Q: Number 1 is which compound?
A: Be2Mo2Os